# 1
The following is a computed XRD peak list of CeEr14Pu. It was derived from a cell relaxed with GGA-PBE, using λ = 1.5418 Å (Cu Kα).

Main lines, sorted by position (15° ≤ 2θ ≤ 90°):
two_theta	d [Å]	Rel. int.
30.3	2.949	22.2
30.5	2.930	45.9
31.5	2.837	53.6
33.3	2.689	53.3
33.5	2.675	100.0
38.0	2.366	25.5
52.0	1.759	26.6
52.4	1.747	13.0
57.4	1.605	21.6
62.1	1.495	31.2
62.4	1.488	15.4
63.5	1.465	16.8

Structure:
abc: 11.3492 7.0369 7.0369
angles: 59.55 90.00 90.00
Positions (direct):
Ce: 0.0000 0.0000 0.0000
Er: 0.0000 0.0009 0.5029
Er: 0.0000 0.5029 0.0009
Er: 0.2489 0.3371 0.3371
Er: 0.2496 0.3355 0.8342
Er: 0.2496 0.8342 0.3355
Er: 0.2518 0.8368 0.8368
Er: 0.5000 0.1705 0.1705
Er: 0.5000 0.1699 0.6692
Er: 0.5000 0.6692 0.1699
Er: 0.5000 0.6706 0.6706
Er: 0.7482 0.8368 0.8368
Er: 0.7504 0.3355 0.8342
Er: 0.7504 0.8342 0.3355
Er: 0.7511 0.3371 0.3371
Pu: 0.0000 0.5007 0.5007

# 2
The following is a computed XRD peak list of Dy7ErSc3. It was derived from a cell relaxed with GGA-PBE, using λ = 1.5418 Å (Cu Kα).

Main lines, sorted by position (15° ≤ 2θ ≤ 90°):
two_theta	d [Å]	Rel. int.
21.6	4.116	13.9
29.8	3.001	13.0
31.7	2.820	100.0
32.6	2.744	26.1
37.1	2.425	60.7
52.8	1.733	20.5
54.0	1.697	27.3
63.0	1.476	14.0
63.5	1.465	22.8
64.6	1.443	10.6
66.3	1.410	11.0
86.6	1.124	11.8

Structure:
abc: 6.9311 6.9311 8.2312
angles: 90.00 90.00 120.00
Positions (direct):
Dy: 0.0000 0.0000 0.0000
Dy: 0.1654 0.3308 0.3432
Dy: 0.1654 0.8346 0.3432
Dy: 0.5013 0.0025 0.9882
Dy: 0.5013 0.4987 0.9882
Dy: 0.6692 0.8346 0.3432
Dy: 0.9975 0.4987 0.9882
Er: 0.6667 0.3333 0.3319
Sc: 0.3339 0.1670 0.6653
Sc: 0.8330 0.1670 0.6653
Sc: 0.8330 0.6661 0.6653

# 3
The following is a computed XRD peak list of FeRe2Ag. It was derived from a cell relaxed with GGA-PBE, using λ = 1.5418 Å (Cu Kα).

Main lines, sorted by position (15° ≤ 2θ ≤ 90°):
two_theta	d [Å]	Rel. int.
22.6	3.928	28.9
27.8	3.214	15.3
33.4	2.686	11.2
39.6	2.277	96.7
40.7	2.217	100.0
46.2	1.964	34.6
46.9	1.939	30.0
47.0	1.934	29.2
68.0	1.379	38.5
81.1	1.186	11.8
81.8	1.177	13.0
83.5	1.158	11.2

Structure:
abc: 2.6862 3.9283 5.5887
angles: 90.00 90.14 90.00
Positions (direct):
Fe: 0.0000 0.0000 0.0000
Re: 0.4975 0.5000 0.2181
Re: 0.5025 0.5000 0.7819
Ag: 0.0000 0.0000 0.5000

# 4
The following is a computed XRD peak list of AcSmMgAg. It was derived from a cell relaxed with GGA-PBE, using λ = 1.5418 Å (Cu Kα).

Main lines, sorted by position (15° ≤ 2θ ≤ 90°):
two_theta	d [Å]	Rel. int.
22.6	3.931	26.2
23.1	3.845	13.5
25.4	3.500	10.1
32.2	2.779	53.7
32.6	2.749	100.0
40.0	2.253	13.5
46.2	1.965	19.7
57.7	1.599	39.2
58.4	1.581	16.7
68.2	1.374	10.5
76.7	1.243	8.8
76.9	1.240	8.4

Structure:
abc: 3.9308 3.9308 7.6898
angles: 90.00 90.00 90.00
Positions (direct):
Ac: 0.0000 0.0000 0.0000
Sm: 0.0000 0.0000 0.4828
Mg: 0.5000 0.5000 0.7177
Ag: 0.5000 0.5000 0.2730

# 5
The following is a computed XRD peak list of La4PRu. It was derived from a cell relaxed with GGA-PBE, using λ = 1.5418 Å (Cu Kα).

Main lines, sorted by position (15° ≤ 2θ ≤ 90°):
two_theta	d [Å]	Rel. int.
17.7	5.015	41.6
29.1	3.071	10.2
34.2	2.619	100.0
35.8	2.507	64.9
41.6	2.172	18.1
45.5	1.993	11.4
54.9	1.672	33.9
60.3	1.536	32.2
63.3	1.468	8.6
71.2	1.325	11.6
72.1	1.309	24.9
86.0	1.131	21.5

Structure:
abc: 6.1421 6.1421 6.1421
angles: 60.00 60.00 60.00
Positions (direct):
La: 0.1252 0.1252 0.1252
La: 0.1252 0.1252 0.6245
La: 0.1252 0.6245 0.1252
La: 0.6245 0.1252 0.1252
P: 0.7500 0.7500 0.7500
Ru: 0.5000 0.5000 0.5000

# 6
The following is a computed XRD peak list of TlCd2Pt. It was derived from a cell relaxed with GGA-PBE, using λ = 1.5418 Å (Cu Kα).

Main lines, sorted by position (15° ≤ 2θ ≤ 90°):
two_theta	d [Å]	Rel. int.
29.1	3.073	10.3
29.6	3.019	32.1
37.7	2.387	100.0
37.8	2.378	28.2
45.0	2.013	8.6
46.1	1.969	15.7
48.7	1.868	16.3
58.0	1.591	10.4
68.2	1.375	17.4
72.4	1.305	13.4
72.8	1.299	8.2
80.5	1.193	7.6

Structure:
abc: 12.9716 3.1016 4.7564
angles: 90.00 111.41 90.00
Positions (direct):
Tl: 0.0000 0.0000 0.0000
Tl: 0.5000 0.5000 0.0000
Cd: 0.2031 0.0000 0.7034
Cd: 0.2969 0.5000 0.2966
Cd: 0.7031 0.5000 0.7034
Cd: 0.7969 0.0000 0.2966
Pt: 0.0000 0.5000 0.5000
Pt: 0.5000 0.0000 0.5000

# 7
The following is a computed XRD peak list of BaCaPaN3. It was derived from a cell relaxed with GGA-PBE, using λ = 1.5418 Å (Cu Kα).

Main lines, sorted by position (15° ≤ 2θ ≤ 90°):
two_theta	d [Å]	Rel. int.
25.5	3.497	77.8
27.6	3.235	78.5
28.4	3.143	92.7
30.4	2.943	87.6
34.2	2.621	58.3
34.5	2.603	100.0
38.1	2.359	28.7
47.6	1.909	32.5
48.9	1.863	30.8
49.3	1.850	21.4
56.6	1.627	29.2
57.0	1.615	27.4

Structure:
abc: 7.3991 3.7649 9.5590
angles: 90.00 99.17 90.00
Positions (direct):
Ba: 0.0945 0.2500 0.3382
Ba: 0.9055 0.7500 0.6618
Ca: 0.3269 0.2500 0.9248
Ca: 0.6731 0.7500 0.0752
Pa: 0.4086 0.7500 0.6347
Pa: 0.5914 0.2500 0.3653
N: 0.2077 0.2500 0.6366
N: 0.3808 0.7500 0.4055
N: 0.4663 0.7500 0.8568
N: 0.5337 0.2500 0.1432
N: 0.6192 0.2500 0.5945
N: 0.7923 0.7500 0.3634

# 8
The following is a computed XRD peak list of ThZn2Fe9. It was derived from a cell relaxed with GGA-PBE, using λ = 1.5418 Å (Cu Kα).

Main lines, sorted by position (15° ≤ 2θ ≤ 90°):
two_theta	d [Å]	Rel. int.
23.9	3.726	26.0
28.4	3.138	28.8
34.4	2.605	31.6
36.0	2.496	38.9
39.3	2.294	100.0
43.3	2.089	40.4
43.8	2.066	24.0
44.8	2.025	43.3
45.4	1.998	28.2
49.5	1.842	20.1
68.3	1.373	20.4
70.0	1.344	19.1

Structure:
abc: 8.2368 8.2368 4.8470
angles: 90.00 90.00 90.00
Positions (direct):
Th: 0.0000 0.0000 0.0000
Th: 0.5000 0.5000 0.0000
Zn: 0.1159 0.3841 0.0000
Zn: 0.3841 0.8841 0.0000
Zn: 0.6159 0.1159 0.0000
Zn: 0.8841 0.6159 0.0000
Fe: 0.0000 0.5000 0.5000
Fe: 0.0658 0.2163 0.5000
Fe: 0.1791 0.6791 0.2431
Fe: 0.1791 0.6791 0.7569
Fe: 0.2163 0.9342 0.5000
Fe: 0.2837 0.4342 0.5000
Fe: 0.3209 0.1791 0.2431
Fe: 0.3209 0.1791 0.7569
Fe: 0.4342 0.7163 0.5000
Fe: 0.5000 0.0000 0.5000
Fe: 0.5658 0.2837 0.5000
Fe: 0.6791 0.8209 0.2431
Fe: 0.6791 0.8209 0.7569
Fe: 0.7163 0.5658 0.5000
Fe: 0.7837 0.0658 0.5000
Fe: 0.8209 0.3209 0.2431
Fe: 0.8209 0.3209 0.7569
Fe: 0.9342 0.7837 0.5000